Structure and theoretical powder diffraction line list of SrH3Ir (a structure optimized by DFT (GGA-PBE); a wavelength of 1.5418 Å).
Intensities are scaled so that the largest is 100.

Cell and atoms:
a b c (Å): 7.509 11.523 5.278
angles (deg): 90.00 90.00 90.00
Space group Cmce (No. 64)
Unique sites:
Sr: 0.250 0.153 0.250 (multiplicity 8)
H: 0.000 0.066 0.094 (multiplicity 8)
H: 0.000 0.194 0.574 (multiplicity 8)
H: 0.250 0.079 0.750 (multiplicity 8)
Ir: 0.000 0.076 0.758 (multiplicity 8)

Top 10 peaks for 2θ = 5–70°, by intensity:
2θ = 33.16°, rel. 100; 2θ = 35.50°, rel. 42; 2θ = 33.97°, rel. 32; 2θ = 28.37°, rel. 26; 2θ = 15.38°, rel. 18; 2θ = 60.28°, rel. 18; 2θ = 65.00°, rel. 17; 2θ = 61.53°, rel. 17; 2θ = 53.60°, rel. 15; 2θ = 44.83°, rel. 15

Structure and theoretical powder diffraction line list of SrHIr2 (a structure optimized by DFT (GGA-PBE); a wavelength of 1.5418 Å).
Intensities are scaled so that the largest is 100.

Cell and atoms:
a b c (Å): 8.057 8.057 8.057
angles (deg): 90.00 90.00 90.00
Space group Fd-3m (No. 227, origin choice 2)
Unique sites:
Sr: 0.125 0.125 0.125 (multiplicity 8)
H: 0.125 0.125 0.625 (multiplicity 8)
Ir: 0.000 0.000 0.500 (multiplicity 16)

Top 10 peaks for 2θ = 5–70°, by intensity:
2θ = 37.00°, rel. 100; 2θ = 38.71°, rel. 67; 2θ = 19.08°, rel. 45; 2θ = 59.63°, rel. 34; 2θ = 65.54°, rel. 33; 2θ = 45.00°, rel. 19; 2θ = 49.30°, rel. 12; 2θ = 31.40°, rel. 10; 2θ = 68.95°, rel. 9; 2θ = 55.90°, rel. 4

Structure and theoretical powder diffraction line list of SrH3Ir (a structure optimized by DFT (GGA-PBE); a wavelength of 1.5418 Å).
Intensities are scaled so that the largest is 100.

Cell and atoms:
a b c (Å): 4.285 4.780 6.574
angles (deg): 90.00 108.93 90.00
Space group P2_1 (No. 4)
Unique sites:
Sr: 0.130 0.000 0.258 (multiplicity 2)
H: 0.307 0.779 0.617 (multiplicity 2)
H: 0.324 0.249 0.649 (multiplicity 2)
H: 0.460 0.652 0.925 (multiplicity 2)
Ir: 0.412 0.992 0.825 (multiplicity 2)

Top 10 peaks for 2θ = 5–70°, by intensity:
2θ = 35.50°, rel. 100; 2θ = 28.89°, rel. 76; 2θ = 21.94°, rel. 30; 2θ = 28.71°, rel. 29; 2θ = 37.63°, rel. 27; 2θ = 14.24°, rel. 24; 2θ = 34.41°, rel. 23; 2θ = 42.17°, rel. 20; 2θ = 66.55°, rel. 16; 2θ = 57.79°, rel. 16

Structure and theoretical powder diffraction line list of TeHIr (a structure optimized by DFT (GGA-PBE); a wavelength of 1.5418 Å).
Intensities are scaled so that the largest is 100.

Cell and atoms:
a b c (Å): 11.434 11.434 7.877
angles (deg): 90.00 90.00 90.00
Space group I4_1/a (No. 88, origin choice 2)
Unique sites:
Te: 0.088 0.366 0.342 (multiplicity 16)
H: 0.112 0.421 0.710 (multiplicity 16)
Ir: 0.037 0.084 0.617 (multiplicity 16)

Top 10 peaks for 2θ = 5–70°, by intensity:
2θ = 13.65°, rel. 100; 2θ = 35.08°, rel. 43; 2θ = 46.61°, rel. 41; 2θ = 20.71°, rel. 37; 2θ = 41.10°, rel. 26; 2θ = 15.50°, rel. 24; 2θ = 34.28°, rel. 23; 2θ = 30.39°, rel. 22; 2θ = 40.56°, rel. 19; 2θ = 33.65°, rel. 14

Structure and theoretical powder diffraction line list of TeH2Ir (a structure optimized by DFT (GGA-PBE); a wavelength of 1.5418 Å).
Intensities are scaled so that the largest is 100.

Cell and atoms:
a b c (Å): 4.045 4.045 12.069
angles (deg): 90.00 90.00 90.00
Space group I4_1/amd (No. 141, origin choice 2)
Unique sites:
Te: 0.000 0.250 0.375 (multiplicity 4)
H: 0.000 0.000 0.000 (multiplicity 8)
Ir: 0.000 0.250 0.875 (multiplicity 4)

Top 10 peaks for 2θ = 5–70°, by intensity:
2θ = 34.71°, rel. 100; 2θ = 29.61°, rel. 37; 2θ = 54.63°, rel. 28; 2θ = 55.88°, rel. 26; 2θ = 44.81°, rel. 25; 2θ = 65.24°, rel. 8; 2θ = 23.19°, rel. 6; 2θ = 61.46°, rel. 5; 2θ = 31.36°, rel. 3; 2θ = 51.05°, rel. 1

Structure and theoretical powder diffraction line list of Th2H2Ir (a structure optimized by DFT (GGA-PBE); a wavelength of 1.5418 Å).
Intensities are scaled so that the largest is 100.

Cell and atoms:
a b c (Å): 7.546 9.735 9.957
angles (deg): 90.00 90.00 90.00
Space group Fddd (No. 70, origin choice 2)
Unique sites:
Th: 0.125 0.125 0.354 (multiplicity 16)
H: 0.125 0.015 0.125 (multiplicity 16)
Ir: 0.125 0.125 0.625 (multiplicity 8)

Top 10 peaks for 2θ = 5–70°, by intensity:
2θ = 29.97°, rel. 100; 2θ = 47.58°, rel. 47; 2θ = 30.83°, rel. 30; 2θ = 36.94°, rel. 29; 2θ = 62.28°, rel. 26; 2θ = 36.08°, rel. 25; 2θ = 25.59°, rel. 21; 2θ = 52.59°, rel. 17; 2θ = 17.33°, rel. 15; 2θ = 40.68°, rel. 15

Structure and theoretical powder diffraction line list of Tl3H9Ir2 (a structure optimized by DFT (GGA-PBE); a wavelength of 1.5418 Å).
Intensities are scaled so that the largest is 100.

Cell and atoms:
a b c (Å): 5.8336 5.8336 14.4586
angles (deg): 90.00 90.00 120.00
Space group P6_3/mmc (No. 194)
Unique sites:
Tl: 0.0000 0.0000 0.2500 (multiplicity 2)
Tl: 0.3333 0.6667 0.0922 (multiplicity 4)
H: 0.0650 0.5325 0.7500 (multiplicity 6)
H: 0.2135 0.4270 0.5865 (multiplicity 12)
Ir: 0.3333 0.6667 0.6612 (multiplicity 4)

Top 10 peaks for 2θ = 5–70°, by intensity:
2θ = 30.65°, rel. 100; 2θ = 30.41°, rel. 44; 2θ = 25.54°, rel. 30; 2θ = 35.78°, rel. 21; 2θ = 54.49°, rel. 20; 2θ = 21.46°, rel. 19; 2θ = 47.57°, rel. 19; 2θ = 54.34°, rel. 17; 2θ = 43.72°, rel. 17; 2θ = 17.55°, rel. 15